Starting from DFT lattice parameters and positions (GGA-PBE), the powder diffractogram of Ac2Tb5 was simulated for CuKα.
Neutral-atom scattering factors, no anomalous dispersion.

Structural model:
```
data_Ac2Tb5
_symmetry_space_group_name_H-M 'P 4/m b m'
_symmetry_Int_Tables_number 127
_symmetry_space_group_name_Hall '-P 4 2ab'
_cell_length_a 11.985
_cell_length_b 11.985
_cell_length_c 3.591
_cell_angle_alpha 90.00
_cell_angle_beta 90.00
_cell_angle_gamma 90.00
loop_
_atom_site_label
_atom_site_fract_x
_atom_site_fract_y
_atom_site_fract_z
Ac1 0.194 0.306 0.000
Tb1 0.000 0.500 0.500
Tb2 0.043 0.799 0.500
```

Most intense lines, 2θ from 15° to 90°, sorted by position:
Position (°2θ)	Rel. int.
28.99	53
29.95	53
30.76	100
31.67	58
32.69	44
34.40	58
36.85	30
60.62	30